This entry pairs a crystal structure of Ce3SiI3 with its calculated PXRD pattern. Radiation: λ = 1.5418 Å (Cu Kα). Structure: a structure optimized by DFT (PBE).
Kinematic intensities with the Lorentz-polarization factor, no thermal factor.

Cell: 10.7553 10.7553 10.7553 Å, 109.47 109.47 109.47°
Sites, in units of the cell vectors:
Ce 0.0154 0.0307 0.2654
Ce 0.0154 0.4846 0.7500
Ce 0.0307 0.2654 0.0154
Ce 0.2346 0.2654 0.7500
Ce 0.2346 0.4693 0.4846
Ce 0.2654 0.0154 0.0307
Ce 0.2654 0.7500 0.2346
Ce 0.4693 0.4846 0.2346
Ce 0.4846 0.2346 0.4693
Ce 0.4846 0.7500 0.0154
Ce 0.7500 0.0154 0.4846
Ce 0.7500 0.2346 0.2654
Si 0.0000 0.2500 0.5000
Si 0.2500 0.2500 0.2500
Si 0.2500 0.5000 0.0000
Si 0.5000 0.0000 0.2500
I 0.2500 0.7587 0.7413
I 0.2500 0.9913 0.5087
I 0.5087 0.2500 0.9913
I 0.5087 0.7587 0.5173
I 0.5173 0.5087 0.7587
I 0.7413 0.2500 0.7587
I 0.7413 0.9913 0.9827
I 0.7587 0.5173 0.5087
I 0.7587 0.7413 0.2500
I 0.9827 0.7413 0.9913
I 0.9913 0.5087 0.2500
I 0.9913 0.9827 0.7413

Most intense lines, 5° ≤ 2θ ≤ 70°, by angle:
two_theta, d (Å), I/Imax
10.07, 8.782, 43
17.49, 5.070, 111
26.86, 3.319, 368
28.75, 3.105, 1000
33.85, 2.648, 206
41.12, 2.195, 706
49.80, 1.831, 46
50.94, 1.793, 235
54.28, 1.690, 164
58.52, 1.577, 136
59.55, 1.552, 102
67.45, 1.389, 263